This entry pairs a crystal structure of SrNdMn2O6 with its calculated powder diffraction line list. Radiation: Cu Ka. Structure: a PBE+U-relaxed structure.
Kinematic intensities with the Lorentz-polarization factor, no thermal factor.

Peak list (6 most intense, 2θ from 10° to 90°, low angle first)
2θ/deg  I_rel
32.27  100
32.79  54
40.01  25
47.05  32
57.21  22
58.20  41

abc: 5.551 5.551 5.551
angles: 121.05 121.05 88.19
Sites, in units of the cell vectors:
Sr (0.000, 0.000, 0.000)
Nd (0.500, 0.500, 0.000)
Mn (0.250, 0.750, 0.500)
Mn (0.750, 0.250, 0.500)
O (0.000, 0.500, 0.500)
O (0.060, 0.463, 0.000)
O (0.463, 0.060, 0.000)
O (0.500, 0.000, 0.500)
O (0.537, 0.537, 0.597)
O (0.940, 0.940, 0.403)

=====

This entry pairs a crystal structure of CrO2 with its calculated powder diffraction line list. Radiation: Cu Ka. Structure: a PBE+U-relaxed structure.
Kinematic intensities with the Lorentz-polarization factor, no thermal factor.

Peak list (6 most intense, 2θ from 10° to 90°, low angle first)
2θ/deg  I_rel
32.54  100
37.75  7
54.45  72
64.89  33
80.63  9
89.67  13

abc: 4.766 4.766 4.766
angles: 90.00 90.00 90.00
Sites, in units of the cell vectors:
Cr (0.000, 0.000, 0.000)
Cr (0.000, 0.500, 0.500)
Cr (0.500, 0.000, 0.500)
Cr (0.500, 0.500, 0.000)
O (0.250, 0.250, 0.250)
O (0.250, 0.250, 0.750)
O (0.250, 0.750, 0.250)
O (0.250, 0.750, 0.750)
O (0.750, 0.250, 0.250)
O (0.750, 0.250, 0.750)
O (0.750, 0.750, 0.250)
O (0.750, 0.750, 0.750)

=====

This entry pairs a crystal structure of ZrNiO3 with its calculated powder diffraction line list. Radiation: Cu Ka. Structure: a PBE+U-relaxed structure.
Kinematic intensities with the Lorentz-polarization factor, no thermal factor.

Peak list (6 most intense, 2θ from 10° to 90°, low angle first)
2θ/deg  I_rel
34.37  100
42.42  10
49.39  35
61.55  36
72.43  20
82.69  15

abc: 3.691 3.691 3.691
angles: 90.00 90.00 90.00
Sites, in units of the cell vectors:
Zr (0.000, 0.000, 0.000)
Ni (0.500, 0.500, 0.500)
O (0.000, 0.500, 0.500)
O (0.500, 0.000, 0.500)
O (0.500, 0.500, 0.000)

=====

This entry pairs a crystal structure of Li5VSi2O8 with its calculated powder diffraction line list. Radiation: Cu Ka. Structure: a PBE+U-relaxed structure.
Kinematic intensities with the Lorentz-polarization factor, no thermal factor.

Peak list (6 most intense, 2θ from 10° to 90°, low angle first)
2θ/deg  I_rel
16.79  35
21.86  100
22.03  42
32.94  48
33.17  52
33.96  99

abc: 5.281 5.281 6.316
angles: 90.42 90.42 91.42
Sites, in units of the cell vectors:
Li (0.000, 0.000, 0.000)
Li (0.354, 0.646, 0.000)
Li (0.510, 0.124, 0.236)
Li (0.876, 0.490, 0.764)
Li (0.984, 0.016, 0.500)
V (0.359, 0.641, 0.500)
Si (0.512, 0.136, 0.756)
Si (0.864, 0.488, 0.244)
O (0.377, 0.016, 0.963)
O (0.380, 0.009, 0.534)
O (0.461, 0.452, 0.742)
O (0.548, 0.539, 0.258)
O (0.818, 0.117, 0.750)
O (0.883, 0.182, 0.250)
O (0.984, 0.623, 0.037)
O (0.991, 0.620, 0.466)

=====

This entry pairs a crystal structure of FeOF with its calculated powder diffraction line list. Radiation: Cu Ka. Structure: a PBE+U-relaxed structure.
Kinematic intensities with the Lorentz-polarization factor, no thermal factor.

Peak list (6 most intense, 2θ from 10° to 90°, low angle first)
2θ/deg  I_rel
26.67  100
34.52  56
39.58  17
52.28  30
52.38  29
66.52  19

abc: 9.455 3.110 9.455
angles: 90.00 90.19 90.00
Sites, in units of the cell vectors:
Fe (0.000, 0.000, 0.000)
Fe (0.010, 0.000, 0.480)
Fe (0.228, 0.500, 0.236)
Fe (0.244, 0.500, 0.708)
Fe (0.466, 0.000, 0.467)
Fe (0.506, 0.000, 0.983)
Fe (0.727, 0.500, 0.737)
Fe (0.744, 0.500, 0.208)
O (0.081, 0.500, 0.580)
O (0.095, 0.500, 0.071)
O (0.138, 0.000, 0.323)
O (0.343, 0.000, 0.633)
O (0.394, 0.500, 0.370)
O (0.584, 0.500, 0.077)
O (0.641, 0.000, 0.821)
O (0.838, 0.000, 0.128)
F (0.144, 0.000, 0.825)
F (0.337, 0.000, 0.122)
F (0.388, 0.500, 0.883)
F (0.593, 0.500, 0.568)
F (0.646, 0.000, 0.327)
F (0.832, 0.000, 0.628)
F (0.886, 0.500, 0.384)
F (0.896, 0.500, 0.872)

=====

This entry pairs a crystal structure of Li9Mn7O16 with its calculated powder diffraction line list. Radiation: Cu Ka. Structure: a PBE+U-relaxed structure.
Kinematic intensities with the Lorentz-polarization factor, no thermal factor.

Peak list (6 most intense, 2θ from 10° to 90°, low angle first)
2θ/deg  I_rel
18.29  100
34.01  17
40.85  34
44.02  27
44.42  26
61.93  23

abc: 5.095 5.829 10.513
angles: 90.06 95.52 107.24
Sites, in units of the cell vectors:
Li (0.000, 0.000, 0.000)
Li (0.000, 0.000, 0.500)
Li (0.000, 0.500, 0.000)
Li (0.003, 0.247, 0.246)
Li (0.486, 0.373, 0.118)
Li (0.493, 0.124, 0.369)
Li (0.507, 0.876, 0.631)
Li (0.514, 0.627, 0.882)
Li (0.997, 0.753, 0.754)
Mn (0.000, 0.500, 0.500)
Mn (0.009, 0.250, 0.760)
Mn (0.493, 0.625, 0.371)
Mn (0.494, 0.873, 0.117)
Mn (0.506, 0.127, 0.883)
Mn (0.507, 0.375, 0.629)
Mn (0.991, 0.750, 0.240)
O (0.240, 0.581, 0.180)
O (0.244, 0.329, 0.435)
O (0.250, 0.037, 0.189)
O (0.251, 0.792, 0.439)
O (0.256, 0.538, 0.690)
O (0.271, 0.297, 0.934)
O (0.278, 0.080, 0.706)
O (0.287, 0.832, 0.950)
O (0.713, 0.168, 0.050)
O (0.722, 0.920, 0.294)
O (0.729, 0.703, 0.066)
O (0.744, 0.462, 0.310)
O (0.749, 0.208, 0.561)
O (0.750, 0.963, 0.811)
O (0.756, 0.671, 0.565)
O (0.760, 0.419, 0.820)